# 1
Diffraction record for LiHf3N4. The powder diffractogram is computed, not measured: it uses the GGA-PBE geometry in Alexandria and Cu Ka.

Most intense lines, 2θ = 15–90°, most intense first:
2θ 34.7, intensity 100; 2θ 40.3, intensity 49; 2θ 22.2, intensity 40; 2θ 58.2, intensity 33; 2θ 69.7, intensity 29; 2θ 40.1, intensity 25; 2θ 73.2, intensity 17; 2θ 58.3, intensity 16; 2θ 69.4, intensity 15; 2θ 19.8, intensity 13; 2θ 46.5, intensity 11; 2θ 36.1, intensity 11

Cell and atoms:
a b c (Å): 5.4961 5.4961 5.4961
angles (deg): 131.96 131.96 70.30
Sites, in units of the cell vectors:
Li: 0.0000 0.0000 0.0000
Hf: 0.2500 0.7500 0.5000
Hf: 0.5000 0.5000 0.0000
Hf: 0.7500 0.2500 0.5000
N: 0.0000 0.5000 0.5000
N: 0.2584 0.2584 0.0000
N: 0.5000 0.0000 0.5000
N: 0.7416 0.7416 0.0000

=====

# 2
Diffraction record for LiHfNb2N4. The powder diffractogram is computed, not measured: it uses the GGA-PBE geometry in Alexandria and Cu Ka.

Most intense lines, 2θ = 15–90°, most intense first:
2θ 35.4, intensity 100; 2θ 22.6, intensity 88; 2θ 41.0, intensity 58; 2θ 59.5, intensity 56; 2θ 41.1, intensity 29; 2θ 71.1, intensity 28; 2θ 36.9, intensity 26; 2θ 47.3, intensity 25; 2θ 56.4, intensity 23; 2θ 74.8, intensity 18; 2θ 71.2, intensity 14; 2θ 72.1, intensity 11

Cell and atoms:
a b c (Å): 5.3787 5.3787 5.3787
angles (deg): 131.71 131.71 70.68
Sites, in units of the cell vectors:
Li: 0.0000 0.0000 0.0000
Hf: 0.5000 0.5000 0.0000
Nb: 0.2500 0.7500 0.5000
Nb: 0.7500 0.2500 0.5000
N: 0.0000 0.5000 0.5000
N: 0.2459 0.2459 0.0000
N: 0.5000 0.0000 0.5000
N: 0.7541 0.7541 0.0000

=====

# 3
Diffraction record for Li2HfPN4. The powder diffractogram is computed, not measured: it uses the GGA-PBE geometry in Alexandria and Cu Ka.

Most intense lines, 2θ = 15–90°, most intense first:
2θ 18.9, intensity 100; 2θ 34.0, intensity 48; 2θ 35.1, intensity 44; 2θ 43.1, intensity 29; 2θ 20.6, intensity 28; 2θ 45.5, intensity 21; 2θ 61.6, intensity 18; 2θ 38.4, intensity 16; 2θ 41.9, intensity 16; 2θ 48.2, intensity 14; 2θ 28.0, intensity 13; 2θ 58.5, intensity 10

Cell and atoms:
a b c (Å): 6.0462 6.0462 6.0462
angles (deg): 125.05 116.41 88.91
Sites, in units of the cell vectors:
Li: 0.0000 0.0000 0.0000
Li: 0.5000 0.0000 0.0000
Li: 0.5000 0.0000 0.5000
Li: 0.5000 0.5000 0.5000
Hf: 0.0000 0.5000 0.5000
Hf: 0.5000 0.5000 0.0000
P: 0.0000 0.0000 0.5000
P: 0.0000 0.5000 0.0000
N: 0.1937 0.2501 0.9436
N: 0.1936 0.7499 0.4436
N: 0.2281 0.2266 0.4985
N: 0.2281 0.7296 0.0015
N: 0.7719 0.2704 0.9985
N: 0.7719 0.7734 0.5015
N: 0.8064 0.2501 0.5564
N: 0.8063 0.7499 0.0564

=====

# 4
Diffraction record for LiHf2PaN4. The powder diffractogram is computed, not measured: it uses the GGA-PBE geometry in Alexandria and Cu Ka.

Most intense lines, 2θ = 15–90°, most intense first:
2θ 38.4, intensity 100; 2θ 33.8, intensity 98; 2θ 32.5, intensity 54; 2θ 33.9, intensity 49; 2θ 16.8, intensity 47; 2θ 39.7, intensity 46; 2θ 55.5, intensity 34; 2θ 19.6, intensity 32; 2θ 57.4, intensity 31; 2θ 66.8, intensity 23; 2θ 31.8, intensity 20; 2θ 16.1, intensity 18

Cell and atoms:
a b c (Å): 5.5251 3.2737 5.7634
angles (deg): 90.00 107.08 90.00
Sites, in units of the cell vectors:
Li: 0.0000 0.0000 0.0000
Hf: 0.0000 0.5000 0.5000
Hf: 0.5000 0.0000 0.5000
Pa: 0.5000 0.5000 0.0000
N: 0.2384 0.0000 0.7320
N: 0.2725 0.5000 0.2731
N: 0.7275 0.5000 0.7269
N: 0.7616 0.0000 0.2680